LiSi2NiO6: calculated powder diffraction line list (Cu Kα (λ = 1.5418 Å)), based on DFT lattice parameters and positions (PBE+U).
Intensities are scaled so that the largest is 100.

abc: 5.364 5.364 5.544
angles: 90.00 90.00 120.25
Fractional positions:
Li (0.000, 0.000, 0.000)
Si (0.000, 0.500, 0.334)
Si (0.500, 0.000, 0.666)
Ni (0.500, 0.500, 0.000)
O (0.159, 0.369, 0.167)
O (0.237, 0.763, 0.500)
O (0.369, 0.159, 0.833)
O (0.631, 0.841, 0.833)
O (0.763, 0.237, 0.500)
O (0.841, 0.631, 0.167)

Peak list (6 most intense, 2θ from 10° to 90°, in order of falling intensity)
| d [Å] | 2θ (°) | intensity |
| --- | --- | --- |
| 3.559 | 25.0 | 100 |
| 1.926 | 47.2 | 20 |
| 4.634 | 19.2 | 16 |
| 1.445 | 64.5 | 8 |
| 1.674 | 54.9 | 7 |
| 2.380 | 37.8 | 7 |